RbMg6C: computed powder diffractogram (Cu Kα), based on DFT lattice parameters and positions (PBE).
Peak positions follow from Bragg's law for the DFT cell and can differ from measured ones.

Largest 10 diffraction maxima, sorted by position, 10 to 90 degrees two-theta:
Position (°2θ), I/Imax
12.05, 49
20.67, 82
24.23, 56
29.23, 100
31.70, 50
33.88, 43
35.92, 60
36.24, 73
36.70, 35
50.43, 33

a = 3.3588 Å, b = 8.5945 Å, c = 8.5945 Å
α = 58.73°, β = 90.00°, γ = 90.00°
Element x y z (fractional)
1 Rb 0.0000 0.0000 0.0000
2 Mg 0.0000 0.5472 0.9319
3 Mg 0.0000 0.9319 0.5472
4 Mg 0.5000 0.2236 0.2236
5 Mg 0.5000 0.2340 0.5427
6 Mg 0.5000 0.5427 0.2340
7 Mg 0.5000 0.5879 0.5879
8 C 0.0000 0.3201 0.3201